Structure and simulated powder diffractogram of Ac5GaSn2 (a structure optimized by DFT (PBE); CuKα).

Cell and atoms:
```
Ac5GaSn2
1.0
8.887 0.000 0.000
0.000 13.377 0.000
0.000 0.000 5.068
Ac Ga Sn
10 2 4
direct
0.000 0.000 0.000
0.156 0.287 0.000
0.192 0.571 0.500
0.308 0.071 0.500
0.344 0.787 0.000
0.500 0.500 0.000
0.656 0.213 0.000
0.692 0.929 0.500
0.808 0.429 0.500
0.844 0.713 0.000
0.000 0.500 0.000
0.500 0.000 0.000
0.071 0.829 0.500
0.429 0.329 0.500
0.571 0.671 0.500
0.929 0.171 0.500
```

Principal peaks in the range 2θ from 15° to 90°, by intensity:
28.51°, intensity 100
27.52°, intensity 84
29.89°, intensity 77
35.43°, intensity 46
24.20°, intensity 38
45.58°, intensity 37
32.07°, intensity 34
46.09°, intensity 28

***

Structure and simulated powder diffractogram of GePdO4 (a structure optimized by DFT (PBE); CuKα).

Cell and atoms:
```
GePdO4
1.0
5.043 -1.494 0.000
5.043 1.494 0.000
-0.861 0.000 5.146
Ge Pd O
1 1 4
direct
0.000 0.000 0.000
0.500 0.500 0.500
0.100 0.100 0.351
0.401 0.401 0.126
0.599 0.599 0.874
0.900 0.900 0.649
```

Principal peaks in the range 2θ from 15° to 90°, by intensity:
17.83°, intensity 100
42.54°, intensity 29
35.16°, intensity 27
36.63°, intensity 16
42.12°, intensity 14
46.34°, intensity 14
34.87°, intensity 13
55.95°, intensity 10

***

Structure and simulated powder diffractogram of ErPuPbO6 (a structure optimized by DFT (PBE); CuKα).

Cell and atoms:
```
ErPuPbO6
1.0
5.784 0.000 0.000
-2.892 5.009 0.000
0.000 0.000 10.220
Er Pu Pb O
2 2 2 12
direct
0.333 0.667 0.250
0.667 0.333 0.750
0.333 0.667 0.750
0.667 0.333 0.250
0.000 0.000 0.000
0.000 0.000 0.500
0.030 0.382 0.643
0.030 0.647 0.857
0.353 0.382 0.857
0.353 0.970 0.643
0.382 0.030 0.143
0.382 0.353 0.357
0.618 0.647 0.643
0.618 0.970 0.857
0.647 0.030 0.357
0.647 0.618 0.143
0.970 0.353 0.143
0.970 0.618 0.357
```

Principal peaks in the range 2θ from 15° to 90°, by intensity:
24.89°, intensity 100
30.92°, intensity 54
47.48°, intensity 45
51.48°, intensity 28
40.10°, intensity 28
55.00°, intensity 16
66.95°, intensity 12
70.21°, intensity 12

***

Structure and simulated powder diffractogram of Sr2ScCl (a structure optimized by DFT (PBE); CuKα).

Cell and atoms:
```
Sr2ScCl
1.0
3.704 0.000 0.000
0.000 3.704 0.000
0.000 0.000 9.751
Sr Sc Cl
2 1 1
direct
0.000 0.000 0.227
0.000 0.000 0.773
0.500 0.500 0.500
0.500 0.500 0.000
```

Principal peaks in the range 2θ from 15° to 90°, by intensity:
30.30°, intensity 100
34.23°, intensity 38
58.88°, intensity 28
51.19°, intensity 18
36.85°, intensity 16
49.19°, intensity 13
24.02°, intensity 12
63.03°, intensity 11

***

Structure and simulated powder diffractogram of Sc6N2O5 (a structure optimized by DFT (PBE); CuKα).

Cell and atoms:
```
Sc6N2O5
1.0
4.998 -2.211 0.000
4.998 2.211 0.000
-1.030 0.000 6.943
Sc N O
6 2 5
direct
0.065 0.065 0.216
0.209 0.209 0.639
0.354 0.354 0.077
0.646 0.646 0.923
0.791 0.791 0.361
0.935 0.935 0.784
0.142 0.142 0.925
0.858 0.858 0.075
0.000 0.000 0.500
0.273 0.273 0.355
0.422 0.422 0.797
0.578 0.578 0.203
0.727 0.727 0.645
```

Principal peaks in the range 2θ from 15° to 90°, by intensity:
40.52°, intensity 100
58.87°, intensity 70
40.80°, intensity 50
34.87°, intensity 28
35.09°, intensity 28
58.35°, intensity 14
74.15°, intensity 13
73.64°, intensity 12

***

Structure and simulated powder diffractogram of La2Dy12Ho (a structure optimized by DFT (PBE); CuKα).

Cell and atoms:
```
La2Dy12Ho
1.0
3.552 -5.676 0.000
3.552 5.676 0.000
-0.020 0.000 24.838
La Dy Ho
4 24 2
direct
0.250 0.250 0.232
0.250 0.250 0.768
0.750 0.750 0.232
0.750 0.750 0.768
0.000 0.000 0.084
0.000 0.000 0.376
0.000 0.000 0.624
0.000 0.000 0.916
0.000 0.500 0.423
0.000 0.500 0.577
0.001 0.500 0.938
0.250 0.750 0.173
0.250 0.750 0.303
0.250 0.750 0.697
0.250 0.750 0.827
0.499 0.499 0.084
0.500 0.000 0.423
0.500 0.000 0.577
0.500 0.001 0.938
0.500 0.500 0.376
0.500 0.500 0.624
0.500 0.999 0.062
0.501 0.501 0.916
0.750 0.250 0.173
0.750 0.250 0.303
0.750 0.250 0.697
0.750 0.250 0.827
0.999 0.500 0.062
0.250 0.250 0.500
0.750 0.750 0.500
```

Principal peaks in the range 2θ from 15° to 90°, by intensity:
31.54°, intensity 100
30.55°, intensity 85
32.88°, intensity 72
36.92°, intensity 66
29.69°, intensity 53
33.06°, intensity 53
61.61°, intensity 28
28.96°, intensity 27

***

Structure and simulated powder diffractogram of La2Ge4Ir3Pd (a structure optimized by DFT (PBE); CuKα).

Cell and atoms:
```
La2Ge4Ir3Pd
1.0
4.350 0.000 0.000
0.000 4.350 0.000
0.000 0.000 10.186
La Ge Ir Pd
2 4 3 1
direct
0.000 0.500 0.241
0.500 0.000 0.759
0.000 0.000 0.000
0.000 0.500 0.632
0.500 0.000 0.368
0.500 0.500 0.000
0.000 0.500 0.875
0.500 0.000 0.125
0.500 0.500 0.500
0.000 0.000 0.500
```

Principal peaks in the range 2θ from 15° to 90°, by intensity:
34.05°, intensity 100
41.51°, intensity 84
33.48°, intensity 77
46.28°, intensity 39
54.35°, intensity 39
49.40°, intensity 29
60.16°, intensity 28
30.35°, intensity 26

***

Structure and simulated powder diffractogram of ZrPd2Pt2Rh (a structure optimized by DFT (PBE); CuKα).

Cell and atoms:
```
ZrPd2Pt2Rh
1.0
5.315 0.000 0.000
0.000 5.460 0.000
-0.986 0.000 6.824
Zr Pd Pt Rh
2 4 4 2
direct
0.184 0.250 0.149
0.816 0.750 0.851
0.313 0.001 0.814
0.313 0.499 0.814
0.687 0.501 0.186
0.687 0.999 0.186
0.017 0.750 0.493
0.483 0.250 0.504
0.517 0.750 0.496
0.983 0.250 0.507
0.196 0.750 0.142
0.804 0.250 0.858
```

Principal peaks in the range 2θ from 15° to 90°, by intensity:
38.40°, intensity 100
39.62°, intensity 90
40.18°, intensity 83
42.40°, intensity 59
38.60°, intensity 56
35.41°, intensity 50
32.81°, intensity 34
48.54°, intensity 33

***

Structure and simulated powder diffractogram of ReW (a structure optimized by DFT (PBE); CuKα).

Cell and atoms:
```
ReW
1.0
-1.570 2.232 4.455
1.570 -2.232 4.455
1.570 2.232 -4.455
Re W
2 2
direct
0.370 0.120 0.250
0.630 0.880 0.750
0.121 0.371 0.750
0.879 0.629 0.250
```

Principal peaks in the range 2θ from 15° to 90°, by intensity:
40.54°, intensity 100
40.45°, intensity 50
73.72°, intensity 26
73.57°, intensity 18
58.54°, intensity 17
87.72°, intensity 11
73.84°, intensity 9
58.81°, intensity 9

***

Structure and simulated powder diffractogram of NdCo3H6 (a structure optimized by DFT (PBE); CuKα).

Cell and atoms:
```
NdCo3H6
1.0
2.199 1.270 4.965
-2.199 1.270 4.965
0.000 -2.539 4.965
Nd Co H
1 3 6
direct
0.000 0.000 0.000
0.203 0.203 0.203
0.534 0.534 0.534
0.814 0.814 0.814
0.168 0.434 0.792
0.433 0.938 0.446
0.434 0.792 0.168
0.446 0.433 0.938
0.792 0.168 0.434
0.938 0.446 0.433
```

Principal peaks in the range 2θ from 15° to 90°, by intensity:
41.04°, intensity 100
33.66°, intensity 74
38.36°, intensity 61
24.12°, intensity 59
55.85°, intensity 41
26.28°, intensity 35
36.18°, intensity 24
54.08°, intensity 19

***

Structure and simulated powder diffractogram of HoGa7Ni5 (a structure optimized by DFT (PBE); CuKα).

Cell and atoms:
```
HoGa7Ni5
1.0
-2.544 4.330 4.213
2.544 -4.330 4.213
2.544 4.330 -4.213
Ho Ga Ni
1 7 5
direct
0.000 0.000 0.000
0.190 0.491 0.699
0.236 0.736 0.500
0.355 0.355 0.000
0.362 0.019 0.342
0.662 0.662 0.000
0.677 0.019 0.658
0.791 0.491 0.301
0.012 0.505 0.013
0.012 0.999 0.507
0.492 0.505 0.493
0.492 0.999 0.987
0.771 0.271 0.500
```

Principal peaks in the range 2θ from 15° to 90°, by intensity:
41.89°, intensity 100
42.27°, intensity 64
35.76°, intensity 58
46.69°, intensity 58
41.16°, intensity 57
41.47°, intensity 55
42.93°, intensity 46
41.72°, intensity 41

***

Structure and simulated powder diffractogram of Th3CoNi2 (a structure optimized by DFT (PBE); CuKα).

Cell and atoms:
```
Th3CoNi2
1.0
-1.952 2.818 6.152
1.952 -2.818 6.152
1.952 2.818 -6.152
Th Co Ni
3 1 2
direct
0.000 0.000 0.000
0.340 0.340 0.000
0.660 0.660 0.000
0.500 0.000 0.500
0.170 0.670 0.500
0.830 0.330 0.500
```

Principal peaks in the range 2θ from 15° to 90°, by intensity:
31.64°, intensity 100
45.44°, intensity 74
31.76°, intensity 50
26.89°, intensity 45
27.80°, intensity 42
55.41°, intensity 20
44.16°, intensity 20
57.42°, intensity 19